(1)
This entry pairs a crystal structure of SrPrCu2S4 with its simulated powder diffraction line list. Radiation: Cu Kα X-rays. Structure: a DFT-relaxed cell (GGA-PBE, Alexandria).
Peak positions follow from Bragg's law for the DFT cell and can differ from measured ones.

Largest 10 diffraction maxima, sorted by position, 15° ≤ 2θ ≤ 90°:
2θ (°)  I/Imax
26.7  27
29.9  100
35.6  22
38.2  46
47.0  12
49.2  50
55.1  15
62.1  20
75.3  11
77.0  12

Structure:
```
SrPrCu2S4
1.0
-3.3328 3.3328 3.8655
3.3328 -3.3328 3.8655
3.3328 3.3328 -3.8655
Sr Pr Cu S
1 1 2 4
Cartesian
0.0000 0.0000 0.0000 Sr
0.0000 0.0000 3.8655 Pr
3.3328 0.0000 1.9328 Cu
0.0000 3.3328 1.9328 Cu
1.5812 -1.5812 2.0253 S
-1.5812 1.5812 2.0253 S
1.7515 1.7515 1.8402 S
1.5812 1.5812 5.7057 S
```



(2)
This entry pairs a crystal structure of DyTmCd6 with its simulated powder diffraction line list. Radiation: Cu Kα X-rays. Structure: a DFT-relaxed cell (GGA-PBE, Alexandria).
Peak positions follow from Bragg's law for the DFT cell and can differ from measured ones.

Largest 10 diffraction maxima, sorted by position, 15° ≤ 2θ ≤ 90°:
2θ (°)  I/Imax
29.9  10
33.2  19
33.4  15
35.3  100
37.0  28
38.1  18
50.5  11
51.0  8
64.6  12
65.5  16

Structure:
```
DyTmCd6
1.0
4.8646 0.0000 0.0000
0.0000 3.5835 5.4006
0.0000 -3.5835 5.4006
Dy Tm Cd
1 1 6
Cartesian
0.0000 0.0000 0.0000 Dy
2.4323 0.0000 7.9232 Tm
0.0000 -1.5559 2.9314 Cd
0.0000 1.5559 2.9314 Cd
0.0000 0.0000 5.8682 Cd
2.4323 0.0000 2.0722 Cd
2.4323 -1.5465 4.9882 Cd
2.4323 1.5465 4.9882 Cd
```



(3)
This entry pairs a crystal structure of Ca2Zn5Ag3 with its simulated powder diffraction line list. Radiation: Cu Kα X-rays. Structure: a DFT-relaxed cell (GGA-PBE, Alexandria).
Peak positions follow from Bragg's law for the DFT cell and can differ from measured ones.

Largest 10 diffraction maxima, sorted by position, 15° ≤ 2θ ≤ 90°:
2θ (°)  I/Imax
23.1  48
31.0  24
34.5  100
42.9  35
43.1  62
44.6  56
63.6  20
64.9  17
75.6  18
81.1  23

Structure:
```
Ca2Zn5Ag3
1.0
4.0611 0.0000 0.0000
0.0000 4.0611 0.0000
0.0000 0.0000 12.3291
Ca Zn Ag
2 5 3
Cartesian
0.0000 2.0305 2.8597 Ca
2.0305 0.0000 9.4694 Ca
0.0000 0.0000 0.0000 Zn
0.0000 0.0000 6.1646 Zn
0.0000 2.0305 10.7118 Zn
2.0305 0.0000 1.6173 Zn
2.0305 2.0305 0.0000 Zn
0.0000 2.0305 8.0972 Ag
2.0305 0.0000 4.2320 Ag
2.0305 2.0305 6.1646 Ag
```



(4)
This entry pairs a crystal structure of BaSr2Te with its simulated powder diffraction line list. Radiation: Cu Kα X-rays. Structure: a DFT-relaxed cell (GGA-PBE, Alexandria).
Peak positions follow from Bragg's law for the DFT cell and can differ from measured ones.

Largest 10 diffraction maxima, sorted by position, 15° ≤ 2θ ≤ 90°:
2θ (°)  I/Imax
26.8  100
30.1  54
32.7  28
39.2  9
39.5  15
43.1  20
51.5  33
55.1  13
59.9  20
71.0  9

Structure:
```
BaSr2Te
1.0
4.2002 0.0000 0.0000
0.0000 4.2002 0.0000
0.0000 0.0000 10.8538
Ba Sr Te
1 2 1
Cartesian
0.0000 0.0000 0.0000 Ba
0.0000 0.0000 6.8778 Sr
2.1001 2.1001 3.5787 Sr
2.1001 2.1001 8.7566 Te
```



(5)
This entry pairs a crystal structure of Nd2Ho8Th3 with its simulated powder diffraction line list. Radiation: Cu Kα X-rays. Structure: a DFT-relaxed cell (GGA-PBE, Alexandria).
Peak positions follow from Bragg's law for the DFT cell and can differ from measured ones.

Largest 10 diffraction maxima, sorted by position, 15° ≤ 2θ ≤ 90°:
2θ (°)  I/Imax
25.5  12
29.9  12
31.9  100
32.0  48
32.3  51
33.2  49
33.7  12
34.4  18
53.0  12
59.0  13

Structure:
```
Nd2Ho8Th3
1.0
7.4444 -4.6201 0.0000
7.4444 4.6201 0.0000
-1.1234 0.0000 6.5095
Nd Ho Th
2 8 3
Cartesian
2.8823 0.0000 2.0024 Nd
10.8830 0.0000 4.5071 Nd
2.0328 0.0000 5.1696 Ho
5.7014 1.6535 0.4082 Ho
5.5451 0.0000 4.1148 Ho
8.0639 1.6535 6.1013 Ho
5.7014 -1.6535 0.4082 Ho
8.2203 0.0000 2.3948 Ho
8.0639 -1.6535 6.1013 Ho
11.7326 0.0000 1.3400 Ho
0.0000 0.0000 0.0000 Th
6.8827 3.0561 3.2548 Th
6.8827 -3.0561 3.2548 Th
```



(6)
This entry pairs a crystal structure of Pr6Mg2In with its simulated powder diffraction line list. Radiation: Cu Kα X-rays. Structure: a DFT-relaxed cell (GGA-PBE, Alexandria).
Peak positions follow from Bragg's law for the DFT cell and can differ from measured ones.

Largest 10 diffraction maxima, sorted by position, 15° ≤ 2θ ≤ 90°:
2θ (°)  I/Imax
18.9  10
30.6  100
34.1  20
36.2  27
50.6  22
52.1  8
58.9  18
61.7  16
63.8  8
82.5  7

Structure:
```
Pr6Mg2In
1.0
10.5237 0.0000 0.0000
0.0000 10.5237 0.0000
0.0000 0.0000 5.2616
Pr Mg In
12 4 2
Cartesian
0.1241 3.4211 0.0000 Pr
1.4190 9.1047 2.6308 Pr
1.8408 5.3859 2.6308 Pr
3.4211 0.1241 0.0000 Pr
3.8429 3.8429 0.0000 Pr
5.1378 8.6830 2.6308 Pr
5.3859 1.8408 2.6308 Pr
6.6808 6.6808 0.0000 Pr
7.1026 10.3997 0.0000 Pr
8.6830 5.1378 2.6308 Pr
9.1047 1.4190 2.6308 Pr
10.3997 7.1026 0.0000 Pr
1.9786 1.9786 2.6308 Mg
3.2833 7.2405 0.0000 Mg
7.2405 3.2833 0.0000 Mg
8.5451 8.5451 2.6308 Mg
0.0000 0.0000 0.0000 In
5.2619 5.2619 2.6308 In
```



(7)
This entry pairs a crystal structure of Fe2Ni3H4 with its simulated powder diffraction line list. Radiation: Cu Kα X-rays. Structure: a DFT-relaxed cell (GGA-PBE, Alexandria).
Peak positions follow from Bragg's law for the DFT cell and can differ from measured ones.

Largest 10 diffraction maxima, sorted by position, 15° ≤ 2θ ≤ 90°:
2θ (°)  I/Imax
40.8  41
42.0  52
43.4  100
47.5  96
52.9  13
66.5  13
72.3  29
74.6  14
83.6  18
87.3  33

Structure:
```
Fe2Ni3H4
1.0
2.6126 0.0000 0.0000
-1.3063 2.2625 0.0000
0.0000 0.0000 10.7634
Fe Ni H
2 3 4
Cartesian
0.0000 1.5084 2.2034 Fe
1.3063 0.7542 8.5600 Fe
0.0000 0.0000 0.0000 Ni
0.0000 1.5084 6.4029 Ni
1.3063 0.7542 4.3604 Ni
0.0000 0.0000 3.3597 H
0.0000 0.0000 7.4037 H
0.0000 1.5084 9.6717 H
1.3063 0.7542 1.0917 H
```



(8)
This entry pairs a crystal structure of Sm3Zn3Ga8 with its simulated powder diffraction line list. Radiation: Cu Kα X-rays. Structure: a DFT-relaxed cell (GGA-PBE, Alexandria).
Peak positions follow from Bragg's law for the DFT cell and can differ from measured ones.

Largest 10 diffraction maxima, sorted by position, 15° ≤ 2θ ≤ 90°:
2θ (°)  I/Imax
29.8  16
34.1  31
34.3  22
34.9  100
37.0  14
42.4  40
43.0  20
55.6  11
62.0  13
72.7  11

Structure:
```
Sm3Zn3Ga8
1.0
-2.1319 5.0157 6.3119
2.1319 -5.0157 6.3119
2.1319 5.0157 -6.3119
Sm Zn Ga
3 3 8
Cartesian
0.0000 0.0000 0.0000 Sm
0.0000 0.0000 3.9794 Sm
0.0000 0.0000 8.6445 Sm
2.1319 2.9322 0.0000 Zn
0.0000 5.0157 0.0000 Zn
0.0000 2.0835 6.3119 Zn
2.1319 -1.2885 2.0157 Ga
2.1319 -2.2209 4.5610 Ga
2.1319 1.2885 2.0157 Ga
0.0000 2.7947 1.7509 Ga
2.1319 2.2209 4.5610 Ga
0.0000 3.7272 4.2963 Ga
0.0000 7.2366 1.7509 Ga
0.0000 6.3042 4.2963 Ga
```



(9)
This entry pairs a crystal structure of ThAs2P2Pd7 with its simulated powder diffraction line list. Radiation: Cu Kα X-rays. Structure: a DFT-relaxed cell (GGA-PBE, Alexandria).
Peak positions follow from Bragg's law for the DFT cell and can differ from measured ones.

Largest 10 diffraction maxima, sorted by position, 15° ≤ 2θ ≤ 90°:
2θ (°)  I/Imax
25.6  24
30.3  100
32.7  27
35.4  28
35.9  35
38.9  54
40.6  41
41.4  80
48.7  27
53.9  26

Structure:
```
ThAs2P2Pd7
1.0
2.8656 -3.4746 0.0000
2.8656 3.4746 0.0000
-0.5037 0.0000 11.1067
Th As P Pd
1 2 2 7
Cartesian
0.0000 0.0000 0.0000 Th
0.6215 0.0000 4.3101 As
4.6060 0.0000 6.7966 As
1.3876 0.0000 8.9594 P
3.8399 0.0000 2.1473 P
1.9250 1.3822 2.6096 Pd
1.6112 0.0000 6.5587 Pd
3.3025 1.3822 8.4971 Pd
2.8656 0.0000 0.0000 Pd
1.9250 -1.3822 2.6096 Pd
3.6162 0.0000 4.5479 Pd
3.3025 -1.3822 8.4971 Pd
```



(10)
This entry pairs a crystal structure of NaSn4I8 with its simulated powder diffraction line list. Radiation: Cu Kα X-rays. Structure: a DFT-relaxed cell (GGA-PBE, Alexandria).
Peak positions follow from Bragg's law for the DFT cell and can differ from measured ones.

Largest 10 diffraction maxima, sorted by position, 15° ≤ 2θ ≤ 90°:
2θ (°)  I/Imax
22.1  9
27.1  100
37.7  14
37.9  14
38.1  14
39.3  12
39.5  12
39.6  12
47.0  9
55.9  9

Structure:
```
NaSn4I8
1.0
9.1151 0.0000 0.0000
4.2562 8.0991 0.0000
4.2322 2.5274 7.7383
Na Sn I
1 4 8
Cartesian
0.0000 0.0000 0.0000 Na
2.1161 1.2637 3.8692 Sn
2.1281 4.0496 0.0000 Sn
4.5575 0.0000 0.0000 Sn
8.8017 5.3133 3.8692 Sn
4.3121 2.6039 1.8996 I
8.5834 7.9380 5.7827 I
6.5682 3.9527 5.8444 I
6.5826 6.7521 1.9532 I
11.0208 3.8745 5.7851 I
11.0352 6.6739 1.8939 I
9.0200 2.6886 1.9556 I
13.2913 8.0227 5.8387 I
```



(11)
This entry pairs a crystal structure of Mn2GaNi3 with its simulated powder diffraction line list. Radiation: Cu Kα X-rays. Structure: a DFT-relaxed cell (GGA-PBE, Alexandria).
Peak positions follow from Bragg's law for the DFT cell and can differ from measured ones.

Largest 5 diffraction maxima, sorted by position, 15° ≤ 2θ ≤ 90°:
2θ (°)  I/Imax
26.6  1
44.1  100
64.1  15
80.9  7
81.1  22

Structure:
```
Mn2GaNi3
1.0
4.1068 0.0000 0.0000
-2.0534 3.5566 0.0000
0.0000 0.0000 10.0889
Mn Ga Ni
4 2 6
Cartesian
0.0000 0.0000 0.0000 Mn
0.0000 0.0000 5.0445 Mn
0.0000 2.3711 1.6901 Mn
2.0534 1.1855 8.3988 Mn
0.0000 2.3711 6.7228 Ga
2.0534 1.1855 3.3661 Ga
0.0000 0.0000 2.5212 Ni
0.0000 0.0000 7.5677 Ni
0.0000 2.3711 4.2152 Ni
0.0000 2.3711 9.2627 Ni
2.0534 1.1855 0.8262 Ni
2.0534 1.1855 5.8737 Ni
```



(12)
This entry pairs a crystal structure of Na3AcSe4O12 with its simulated powder diffraction line list. Radiation: Cu Kα X-rays. Structure: a DFT-relaxed cell (GGA-PBE, Alexandria).
Peak positions follow from Bragg's law for the DFT cell and can differ from measured ones.

Largest 10 diffraction maxima, sorted by position, 15° ≤ 2θ ≤ 90°:
2θ (°)  I/Imax
15.4  61
25.9  37
26.8  47
27.8  100
31.0  24
31.9  43
34.1  38
35.7  26
45.1  36
57.6  28

Structure:
```
Na3AcSe4O12
1.0
5.7673 3.3297 2.7911
-5.7673 3.3297 2.7911
0.0000 -6.6595 2.7911
Na Ac Se O
3 1 4 12
Cartesian
-3.2922 -0.9573 2.7911 Na
2.4751 -2.3724 2.7911 Na
0.8170 3.3297 2.7911 Na
0.0000 0.0000 0.0000 Ac
-2.3695 -4.1041 4.1867 Se
0.0000 0.0000 4.1867 Se
-2.3695 4.1041 4.1867 Se
4.7390 0.0000 4.1867 Se
-1.2454 -1.5188 1.5956 O
-5.1093 0.0000 4.1867 O
-0.6926 1.8379 1.5956 O
1.9380 -0.3191 1.5956 O
-1.6442 0.0000 4.1867 O
2.5546 -4.4248 4.1867 O
0.8221 -1.4239 4.1867 O
0.8221 1.4239 4.1867 O
-0.6926 -1.8379 6.7778 O
-1.2454 1.5188 6.7778 O
2.5546 4.4248 4.1867 O
1.9380 0.3191 6.7778 O
```